Calculated powder X-ray diffraction pattern of AcTmSe for CuKα, from a DFT-relaxed cell (PBE, Alexandria).
Kinematic intensities with the Lorentz-polarization factor, no thermal factor.

Main lines, in order of falling intensity (10 to 80 degrees two-theta):
2θ = 28.70°, I 100
2θ = 36.39°, I 34
2θ = 45.27°, I 26
2θ = 46.80°, I 20
2θ = 54.48°, I 17
2θ = 25.35°, I 17
2θ = 73.46°, I 14
2θ = 52.59°, I 14
2θ = 71.42°, I 8
2θ = 59.42°, I 8
2θ = 25.68°, I 8
2θ = 77.73°, I 8

Unit cell a=4.0064 b=4.0064 c=7.0263 alpha=90.00 beta=90.00 gamma=120.00
Space group P3m1 (No. 156)
Unique sites:
Ac 0.0000 0.0000 0.0000 [1 per cell]
Tm 0.6667 0.3333 0.4515 [1 per cell]
Se 0.3333 0.6667 0.6907 [1 per cell]

***

Calculated powder X-ray diffraction pattern of TlPb2Au3 for CuKα, from a DFT-relaxed cell (PBE, Alexandria).
Kinematic intensities with the Lorentz-polarization factor, no thermal factor.

Main lines, in order of falling intensity (10 to 80 degrees two-theta):
2θ = 34.25°, I 100
2θ = 28.20°, I 94
2θ = 26.56°, I 57
2θ = 38.10°, I 57
2θ = 44.95°, I 48
2θ = 20.32°, I 34
2θ = 41.96°, I 33
2θ = 36.56°, I 28
2θ = 46.57°, I 28
2θ = 63.75°, I 26
2θ = 49.22°, I 26
2θ = 38.54°, I 17

Unit cell a=15.7003 b=7.9397 c=5.2411 alpha=90.00 beta=90.00 gamma=90.00
Space group Cmcm (No. 63)
Unique sites:
Tl 0.0000 0.1540 0.2500 [4 per cell]
Pb 0.1543 0.3051 0.7500 [8 per cell]
Au 0.0000 0.5000 0.0000 [4 per cell]
Au 0.1762 0.0670 0.2500 [8 per cell]

***

Calculated powder X-ray diffraction pattern of HgW for CuKα, from a DFT-relaxed cell (PBE, Alexandria).
Kinematic intensities with the Lorentz-polarization factor, no thermal factor.

Main lines, in order of falling intensity (10 to 80 degrees two-theta):
2θ = 37.86°, I 100
2θ = 30.69°, I 28
2θ = 49.50°, I 20
2θ = 46.76°, I 14
2θ = 43.96°, I 14
2θ = 68.44°, I 13
2θ = 61.71°, I 13
2θ = 63.90°, I 12
2θ = 72.54°, I 11
2θ = 21.57°, I 7
2θ = 76.76°, I 6
2θ = 34.41°, I 4

Unit cell a=8.2427 b=8.2427 c=4.7452 alpha=90.00 beta=90.00 gamma=90.00
Space group I4/mmm (No. 139)
Unique sites:
Hg 0.0000 0.2761 0.0000 [8 per cell]
W 0.1580 0.1580 0.5000 [8 per cell]

***

Calculated powder X-ray diffraction pattern of Dy2TmCdHg4 for CuKα, from a DFT-relaxed cell (PBE, Alexandria).
Kinematic intensities with the Lorentz-polarization factor, no thermal factor.

Main lines, in order of falling intensity (10 to 80 degrees two-theta):
2θ = 34.97°, I 100
2θ = 34.38°, I 98
2θ = 62.35°, I 36
2θ = 49.86°, I 35
2θ = 62.73°, I 19
2θ = 61.20°, I 16
2θ = 73.88°, I 12
2θ = 72.47°, I 9
2θ = 47.59°, I 5
2θ = 24.33°, I 5
2θ = 65.00°, I 3
2θ = 31.23°, I 3

Unit cell a=5.1312 b=5.1312 c=25.7736 alpha=90.00 beta=90.00 gamma=120.00
Space group R-3m (No. 166, hexagonal axes)
Unique sites:
Dy 0.0000 0.0000 0.2432 [6 per cell]
Tm 0.0000 0.0000 0.0000 [3 per cell]
Cd 0.0000 0.0000 0.5000 [3 per cell]
Hg 0.0000 0.0000 0.1218 [6 per cell]
Hg 0.0000 0.0000 0.3688 [6 per cell]

***

Calculated powder X-ray diffraction pattern of ZnH6Ir2Pd for CuKα, from a DFT-relaxed cell (PBE, Alexandria).
Kinematic intensities with the Lorentz-polarization factor, no thermal factor.

Main lines, in order of falling intensity (10 to 80 degrees two-theta):
2θ = 39.58°, I 100
2θ = 22.33°, I 86
2θ = 33.26°, I 60
2θ = 45.96°, I 56
2θ = 35.70°, I 54
2θ = 39.28°, I 51
2θ = 14.25°, I 43
2θ = 40.85°, I 24
2θ = 31.41°, I 24
2θ = 33.56°, I 23
2θ = 41.33°, I 21
2θ = 66.33°, I 19

Unit cell a=8.9064 b=9.1752 c=4.5077 alpha=90.00 beta=108.33 gamma=90.00
Space group C2/c (No. 15)
Unique sites:
Zn 0.0000 0.1250 0.2500 [4 per cell]
H 0.1484 0.2905 0.0659 [8 per cell]
H 0.1641 0.2264 0.5643 [8 per cell]
H 0.2108 0.4909 0.7967 [8 per cell]
Ir 0.1727 0.1114 0.8429 [8 per cell]
Pd 0.0000 0.3907 0.7500 [4 per cell]

***

Calculated powder X-ray diffraction pattern of La9Ir2Pt4 for CuKα, from a DFT-relaxed cell (PBE, Alexandria).
Kinematic intensities with the Lorentz-polarization factor, no thermal factor.

Main lines, in order of falling intensity (10 to 80 degrees two-theta):
2θ = 36.07°, I 100
2θ = 27.66°, I 75
2θ = 42.74°, I 57
2θ = 16.46°, I 35
2θ = 57.12°, I 27
2θ = 73.90°, I 25
2θ = 71.22°, I 24
2θ = 22.38°, I 22
2θ = 47.20°, I 17
2θ = 51.67°, I 13
2θ = 24.29°, I 13
2θ = 33.26°, I 11

Unit cell a=7.3292 b=7.3292 c=20.3680 alpha=90.00 beta=90.00 gamma=120.00
Space group P-3c1 (No. 165)
Unique sites:
La 0.0000 0.3165 0.2500 [6 per cell]
La 0.0076 0.3341 0.9156 [12 per cell]
Ir 0.0000 0.0000 0.1620 [4 per cell]
Pt 0.3333 0.6667 0.0038 [4 per cell]
Pt 0.3333 0.6667 0.3295 [4 per cell]

***

Calculated powder X-ray diffraction pattern of Th4Tl2Fe for CuKα, from a DFT-relaxed cell (PBE, Alexandria).
Kinematic intensities with the Lorentz-polarization factor, no thermal factor.

Main lines, in order of falling intensity (10 to 80 degrees two-theta):
2θ = 33.71°, I 100
2θ = 30.99°, I 100
2θ = 32.68°, I 96
2θ = 32.43°, I 93
2θ = 31.56°, I 79
2θ = 28.54°, I 74
2θ = 29.37°, I 70
2θ = 32.33°, I 47
2θ = 34.31°, I 39
2θ = 50.14°, I 33
2θ = 65.90°, I 32
2θ = 46.07°, I 31

Unit cell a=6.3417 b=6.7007 c=9.6573 alpha=90.00 beta=99.52 gamma=90.00
Space group P2_1/m (No. 11)
Unique sites:
Th 0.1762 0.2500 0.0841 [2 per cell]
Th 0.2261 0.5086 0.7303 [4 per cell]
Th 0.2963 0.7500 0.3828 [2 per cell]
Tl 0.2114 0.2500 0.4319 [2 per cell]
Tl 0.3769 0.7500 0.0421 [2 per cell]
Fe 0.0251 0.7500 0.1659 [2 per cell]

***

Calculated powder X-ray diffraction pattern of K5Rb4 for CuKα, from a DFT-relaxed cell (PBE, Alexandria).
Kinematic intensities with the Lorentz-polarization factor, no thermal factor.

Main lines, in order of falling intensity (10 to 80 degrees two-theta):
2θ = 22.51°, I 100
2θ = 26.39°, I 33
2θ = 44.33°, I 30
2θ = 36.93°, I 26
2θ = 25.37°, I 19
2θ = 43.04°, I 17
2θ = 45.96°, I 13
2θ = 58.50°, I 13
2θ = 37.67°, I 12
2θ = 18.75°, I 9
2θ = 67.51°, I 8
2θ = 59.33°, I 7

Unit cell a=14.3289 b=14.3289 c=7.0219 alpha=90.00 beta=90.00 gamma=90.00
Space group I4/m (No. 87)
Unique sites:
K 0.0000 0.0000 0.0000 [2 per cell]
K 0.1632 0.1645 0.5000 [8 per cell]
Rb 0.9997 0.3263 0.0000 [8 per cell]

***

Calculated powder X-ray diffraction pattern of NaPm4Tl4 for CuKα, from a DFT-relaxed cell (PBE, Alexandria).
Kinematic intensities with the Lorentz-polarization factor, no thermal factor.

Main lines, in order of falling intensity (10 to 80 degrees two-theta):
2θ = 30.83°, I 100
2θ = 34.85°, I 70
2θ = 28.70°, I 51
2θ = 44.97°, I 36
2θ = 49.38°, I 36
2θ = 44.17°, I 24
2θ = 64.93°, I 22
2θ = 61.22°, I 21
2θ = 27.51°, I 20
2θ = 19.36°, I 15
2θ = 71.83°, I 15
2θ = 58.70°, I 10

Unit cell a=9.1704 b=9.1704 c=6.6131 alpha=90.00 beta=90.00 gamma=90.00
Space group P4_2/n (No. 86, origin choice 2)
Unique sites:
Na 0.2500 0.2500 0.2500 [2 per cell]
Pm 0.0107 0.6638 0.1323 [8 per cell]
Tl 0.0309 0.6611 0.6147 [8 per cell]

***

Calculated powder X-ray diffraction pattern of Pm3Sm2Dy5 for CuKα, from a DFT-relaxed cell (PBE, Alexandria).
Kinematic intensities with the Lorentz-polarization factor, no thermal factor.

Main lines, in order of falling intensity (10 to 80 degrees two-theta):
2θ = 30.02°, I 100
2θ = 30.64°, I 92
2θ = 33.43°, I 44
2θ = 64.91°, I 21
2θ = 32.09°, I 21
2θ = 60.61°, I 20
2θ = 48.99°, I 20
2θ = 67.33°, I 19
2θ = 37.35°, I 16
2θ = 57.65°, I 16
2θ = 38.88°, I 15
2θ = 58.02°, I 15

Unit cell a=10.7227 b=16.1701 c=9.3858 alpha=90.00 beta=124.82 gamma=90.00
Space group C2/c (No. 15)
Unique sites:
Pm 0.0000 0.0187 0.2500 [4 per cell]
Pm 0.1533 0.3751 0.5482 [8 per cell]
Sm 0.1436 0.1294 0.0454 [8 per cell]
Dy 0.0000 0.2264 0.2500 [4 per cell]
Dy 0.0000 0.2778 0.7500 [4 per cell]
Dy 0.0000 0.4760 0.7500 [4 per cell]
Dy 0.2388 0.3689 0.2298 [8 per cell]

***

Calculated powder X-ray diffraction pattern of Ca5Mo4 for CuKα, from a DFT-relaxed cell (PBE, Alexandria).
Kinematic intensities with the Lorentz-polarization factor, no thermal factor.

Main lines, in order of falling intensity (10 to 80 degrees two-theta):
2θ = 34.96°, I 100
2θ = 11.04°, I 92
2θ = 33.55°, I 46
2θ = 15.64°, I 27
2θ = 41.80°, I 25
2θ = 60.90°, I 15
2θ = 47.82°, I 13
2θ = 63.60°, I 13
2θ = 48.17°, I 11
2θ = 50.62°, I 10
2θ = 52.32°, I 9
2θ = 57.50°, I 8

Unit cell a=11.3335 b=11.3335 c=3.4973 alpha=90.00 beta=90.00 gamma=90.00
Space group I4/mmm (No. 139)
Unique sites:
Ca 0.0000 0.0000 0.0000 [2 per cell]
Ca 0.1674 0.1674 0.5000 [8 per cell]
Mo 0.0000 0.3740 0.0000 [8 per cell]

***

Calculated powder X-ray diffraction pattern of BaEr7Se12 for CuKα, from a DFT-relaxed cell (PBE, Alexandria).
Kinematic intensities with the Lorentz-polarization factor, no thermal factor.

Main lines, in order of falling intensity (10 to 80 degrees two-theta):
2θ = 23.93°, I 100
2θ = 42.09°, I 97
2θ = 34.10°, I 52
2θ = 76.91°, I 42
2θ = 66.53°, I 31
2θ = 26.80°, I 28
2θ = 55.23°, I 27
2θ = 48.99°, I 24
2θ = 31.83°, I 19
2θ = 50.60°, I 14
2θ = 53.72°, I 9
2θ = 61.04°, I 8

Unit cell a=10.5181 b=10.5181 c=10.5181 alpha=90.00 beta=90.00 gamma=90.00
Space group Im-3 (No. 204)
Unique sites:
Ba 0.0000 0.0000 0.0000 [2 per cell]
Er 0.0000 0.0000 0.5000 [6 per cell]
Er 0.2500 0.2500 0.2500 [8 per cell]
Se 0.0000 0.1825 0.3088 [24 per cell]